# 1
Structure and theoretical X-ray diffraction stick pattern of AcLa2Ga2Pd7 (a crystal structure in Alexandria, relaxed with GGA-PBE; copper Kα).

Most intense lines, 2θ = 15–90°, low angle first:
| Position (°2θ) | I/Imax |
| --- | --- |
| 31.6 | 30 |
| 33.1 | 51 |
| 34.4 | 70 |
| 35.7 | 100 |
| 41.8 | 37 |
| 42.9 | 89 |
| 43.1 | 36 |
| 61.7 | 29 |

Cell and atoms:
```
12
Lattice="3.009 -2.965 0.000 3.009 2.965 0.000 -2.134 0.000 14.178" Properties=species:S:1:pos:R:3 pbc="T T T"
Ac 0.000 0.000 0.000
La -0.080 0.000 5.084
La 3.963 0.000 9.094
Ga 0.887 0.000 10.563
Ga 2.996 0.000 3.615
Pd 1.496 1.483 2.262
Pd 0.997 0.000 8.065
Pd 2.388 1.483 11.916
Pd 3.009 0.000 0.000
Pd 1.496 -1.483 2.262
Pd 2.886 0.000 6.113
Pd 2.388 -1.483 11.916
```



# 2
Structure and theoretical X-ray diffraction stick pattern of Tb3Te5 (a crystal structure in Alexandria, relaxed with GGA-PBE; copper Kα).

Most intense lines, 2θ = 15–90°, low angle first:
| Position (°2θ) | I/Imax |
| --- | --- |
| 29.0 | 21 |
| 32.3 | 61 |
| 32.8 | 100 |
| 34.7 | 87 |
| 42.3 | 18 |
| 44.3 | 17 |
| 48.5 | 26 |
| 70.1 | 22 |

Cell and atoms:
```
16
Lattice="9.472 0.000 0.000 -4.736 8.203 0.000 0.000 0.000 6.166" Properties=species:S:1:pos:R:3 pbc="T T T"
Tb -1.762 3.052 1.541
Tb -2.974 5.151 4.624
Tb 3.524 0.000 1.541
Tb 1.762 3.052 4.624
Tb 5.948 0.000 4.624
Tb 2.974 5.151 1.541
Te -1.309 2.268 4.624
Te -3.426 5.935 1.541
Te 2.619 0.000 4.624
Te 1.309 2.268 1.541
Te 0.000 5.468 0.000
Te 0.000 5.468 3.083
Te 4.736 2.734 0.000
Te 4.736 2.734 3.083
Te 6.853 0.000 1.541
Te 3.426 5.935 4.624
```



# 3
Structure and theoretical X-ray diffraction stick pattern of Pm3Sn2Rh4 (a crystal structure in Alexandria, relaxed with GGA-PBE; copper Kα).

Most intense lines, 2θ = 15–90°, low angle first:
| Position (°2θ) | I/Imax |
| --- | --- |
| 29.2 | 44 |
| 33.5 | 98 |
| 33.7 | 46 |
| 37.9 | 42 |
| 38.4 | 100 |
| 40.4 | 70 |
| 40.8 | 36 |
| 68.6 | 32 |

Cell and atoms:
```
9
Lattice="5.039 -2.231 0.000 5.039 2.231 0.000 -0.877 0.000 8.842" Properties=species:S:1:pos:R:3 pbc="T T T"
Pm 0.000 0.000 0.000
Pm 3.230 0.000 5.429
Pm 5.971 0.000 3.412
Sn 3.040 0.000 1.925
Sn 6.161 0.000 6.917
Rh 0.303 0.000 5.574
Rh 2.062 0.000 8.064
Rh 7.139 0.000 0.778
Rh 8.898 0.000 3.268
```



# 4
Structure and theoretical X-ray diffraction stick pattern of Mn3Al4Si2 (a crystal structure in Alexandria, relaxed with GGA-PBE; copper Kα).

Most intense lines, 2θ = 15–90°, low angle first:
| Position (°2θ) | I/Imax |
| --- | --- |
| 24.9 | 29 |
| 41.3 | 100 |
| 42.6 | 45 |
| 45.0 | 38 |
| 45.3 | 38 |
| 51.6 | 25 |
| 51.8 | 25 |
| 76.4 | 15 |

Cell and atoms:
```
18
Lattice="2.279 -3.914 0.000 2.279 3.914 0.000 -2.206 0.000 12.734" Properties=species:S:1:pos:R:3 pbc="T T T"
Mn 0.000 0.000 0.000
Mn 1.133 1.951 2.051
Mn 0.055 -0.001 8.494
Mn 1.219 1.951 10.682
Mn 2.297 -0.001 4.239
Mn 1.176 -1.979 6.367
Al 0.051 2.584 8.519
Al 1.176 3.279 6.367
Al -1.084 0.632 10.598
Al 2.301 2.584 4.215
Al 1.162 -0.615 2.086
Al 1.176 0.625 6.367
Al 1.190 -0.615 10.648
Al 3.436 0.632 2.136
Si 2.279 1.321 0.000
Si 0.040 -2.560 8.495
Si 2.279 -1.361 0.000
Si 2.312 -2.560 4.238
```



# 5
Structure and theoretical X-ray diffraction stick pattern of RbPmRu2O8 (a crystal structure in Alexandria, relaxed with GGA-PBE; copper Kα).

Most intense lines, 2θ = 15–90°, low angle first:
| Position (°2θ) | I/Imax |
| --- | --- |
| 16.9 | 21 |
| 20.2 | 100 |
| 27.8 | 80 |
| 29.5 | 69 |
| 41.0 | 38 |
| 47.2 | 19 |
| 51.3 | 29 |
| 54.4 | 27 |

Cell and atoms:
```
12
Lattice="6.049 0.000 0.000 -3.025 5.239 0.000 0.000 0.000 8.125" Properties=species:S:1:pos:R:3 pbc="T T T"
Rb 0.000 0.000 0.000
Pm 0.000 0.000 4.062
Ru 0.000 3.493 6.159
Ru 3.025 1.746 1.966
O -0.043 1.798 5.536
O -1.446 4.377 5.536
O 0.000 3.493 7.909
O 1.536 0.936 2.588
O 1.489 4.303 5.536
O 3.025 1.746 0.215
O 4.471 0.862 2.588
O 3.068 3.441 2.588
```



# 6
Structure and theoretical X-ray diffraction stick pattern of Pr2Zn3Pd12Pt (a crystal structure in Alexandria, relaxed with GGA-PBE; copper Kα).

Most intense lines, 2θ = 15–90°, low angle first:
| Position (°2θ) | I/Imax |
| --- | --- |
| 25.9 | 35 |
| 26.8 | 44 |
| 31.5 | 88 |
| 41.2 | 25 |
| 44.1 | 100 |
| 46.2 | 83 |
| 65.8 | 31 |
| 82.6 | 32 |

Cell and atoms:
```
18
Lattice="4.108 2.372 6.286 -4.108 2.372 6.286 0.000 -4.744 6.286" Properties=species:S:1:pos:R:3 pbc="T T T"
Pr 0.000 0.000 2.155
Pr 0.000 0.000 16.701
Zn -2.054 -1.186 6.286
Zn -2.054 1.186 12.571
Zn 0.000 2.372 6.286
Pd -2.176 -1.256 8.759
Pd 0.000 -2.330 5.470
Pd -2.017 1.165 5.470
Pd 0.000 -2.512 10.098
Pd -2.176 1.256 10.098
Pd -2.017 -1.165 13.387
Pd 2.017 1.165 5.470
Pd 2.176 -1.256 8.759
Pd 0.000 2.512 8.759
Pd 2.017 -1.165 13.387
Pd 0.000 2.330 13.387
Pd 2.176 1.256 10.098
Pt 0.000 0.000 9.428
```



# 7
Structure and theoretical X-ray diffraction stick pattern of PrNdSi (a crystal structure in Alexandria, relaxed with GGA-PBE; copper Kα).

Most intense lines, 2θ = 15–90°, low angle first:
| Position (°2θ) | I/Imax |
| --- | --- |
| 21.9 | 21 |
| 30.1 | 100 |
| 32.7 | 50 |
| 33.7 | 50 |
| 41.5 | 18 |
| 51.3 | 22 |
| 54.5 | 25 |
| 61.2 | 22 |

Cell and atoms:
```
9
Lattice="8.124 0.000 0.000 -4.062 7.035 0.000 0.000 0.000 4.354" Properties=species:S:1:pos:R:3 pbc="T T T"
Pr -2.389 4.139 0.000
Pr 1.672 2.897 0.000
Pr 4.779 0.000 0.000
Nd -1.067 1.848 2.177
Nd 2.134 0.000 2.177
Nd 2.995 5.187 2.177
Si 0.000 0.000 0.000
Si 0.000 4.690 2.177
Si 4.062 2.345 2.177
```



# 8
Structure and theoretical X-ray diffraction stick pattern of Fe5Si4 (a crystal structure in Alexandria, relaxed with GGA-PBE; copper Kα).

Most intense lines, 2θ = 15–90°, low angle first:
| Position (°2θ) | I/Imax |
| --- | --- |
| 16.7 | 20 |
| 36.3 | 7 |
| 43.9 | 100 |
| 49.8 | 17 |
| 51.7 | 29 |
| 74.7 | 18 |
| 76.2 | 8 |
| 89.3 | 12 |

Cell and atoms:
```
9
Lattice="-3.748 3.748 1.830 3.748 -3.748 1.830 3.748 3.748 -1.830" Properties=species:S:1:pos:R:3 pbc="T T T"
Fe 0.000 0.000 0.000
Fe 2.472 2.472 0.000
Fe 1.276 -1.276 1.830
Fe -1.276 1.276 1.830
Fe 1.276 1.276 1.830
Si 2.298 0.000 0.000
Si 5.199 0.000 0.000
Si 0.000 2.298 0.000
Si 0.000 5.199 0.000
```



# 9
Structure and theoretical X-ray diffraction stick pattern of ErZr2Co (a crystal structure in Alexandria, relaxed with GGA-PBE; copper Kα).

Most intense lines, 2θ = 15–90°, low angle first:
| Position (°2θ) | I/Imax |
| --- | --- |
| 32.1 | 48 |
| 33.5 | 100 |
| 34.3 | 38 |
| 34.5 | 62 |
| 40.4 | 22 |
| 40.7 | 27 |
| 43.2 | 32 |
| 60.4 | 20 |

Cell and atoms:
```
16
Lattice="4.192 0.000 0.000 0.000 11.183 0.000 0.000 0.000 7.299" Properties=species:S:1:pos:R:3 pbc="T T T"
Er 0.000 0.594 1.825
Er 0.000 10.589 5.474
Er 2.096 4.998 5.474
Er 2.096 6.186 1.825
Zr 0.000 3.915 0.343
Zr 0.000 3.915 3.307
Zr 0.000 7.268 3.992
Zr 0.000 7.268 6.956
Zr 2.096 1.676 3.992
Zr 2.096 1.676 6.956
Zr 2.096 9.507 0.343
Zr 2.096 9.507 3.307
Co 0.000 2.505 5.474
Co 0.000 8.679 1.825
Co 2.096 3.087 1.825
Co 2.096 8.096 5.474
```



# 10
Structure and theoretical X-ray diffraction stick pattern of Pm2Cd2In3 (a crystal structure in Alexandria, relaxed with GGA-PBE; copper Kα).

Most intense lines, 2θ = 15–90°, low angle first:
| Position (°2θ) | I/Imax |
| --- | --- |
| 28.3 | 23 |
| 30.3 | 94 |
| 31.0 | 100 |
| 34.6 | 23 |
| 38.3 | 46 |
| 39.2 | 38 |
| 50.1 | 18 |
| 56.0 | 27 |

Cell and atoms:
```
14
Lattice="2.353 -10.368 0.000 2.353 10.368 0.000 0.000 0.000 7.682" Properties=species:S:1:pos:R:3 pbc="T T T"
Pm 2.353 9.402 5.762
Pm 2.353 7.141 1.921
Pm 2.353 -7.141 5.762
Pm 2.353 -9.402 1.921
Cd 2.353 3.904 0.417
Cd 2.353 3.904 3.424
Cd 2.353 -3.904 4.258
Cd 2.353 -3.904 7.265
In 2.353 5.760 5.762
In 2.353 1.276 4.355
In 2.353 1.276 7.168
In 2.353 -1.276 0.514
In 2.353 -1.276 3.327
In 2.353 -5.760 1.921
```